Calculated X-ray powder pattern of Tm5CoSe4 for CuKα, from a crystal structure in Alexandria, relaxed with PBE.
Neutral-atom scattering factors, no anomalous dispersion.

Structure:
```
10
Lattice="-4.500 4.500 2.852 4.500 -4.500 2.852 4.500 4.500 -2.852" Properties=species:S:1:pos:R:3 pbc="T T T"
Tm 0.000 0.000 0.000
Tm 5.333 2.079 0.000
Tm 2.079 3.667 0.000
Tm 2.421 0.833 2.852
Tm -0.833 2.421 2.852
Co 0.000 0.000 2.852
Se 2.775 0.824 0.000
Se 3.676 -1.725 2.852
Se 0.824 6.225 0.000
Se 1.725 3.676 2.852
```

Peak list (12 most intense, 2θ from 10° to 90°, in order of rising 2θ)
d (Å)  Rel. int.
3.289  263
2.848  1000
2.287  70
2.014  693
1.718  88
1.644  224
1.432  48
1.423  55
1.275  108
1.273  141
1.164  73
1.162  98

Calculated X-ray powder pattern of K5H3F2 for CuKα, from a crystal structure in Alexandria, relaxed with PBE.
Neutral-atom scattering factors, no anomalous dispersion.

Structure:
```
10
Lattice="6.512 -1.964 0.000 6.512 1.964 0.000 -4.749 0.000 8.390" Properties=species:S:1:pos:R:3 pbc="T T T"
K 0.000 0.000 0.000
K -1.248 0.000 6.784
K 2.370 0.000 5.080
K 5.905 0.000 3.311
K 9.523 0.000 1.607
H -2.375 0.000 4.195
H 1.200 0.000 2.483
H 7.075 0.000 5.908
F 4.745 0.000 0.822
F 3.530 0.000 7.568
```

Peak list (12 most intense, 2θ from 10° to 90°, in order of rising 2θ)
d (Å)  Rel. int.
8.390  105
3.209  823
2.779  1000
1.965  629
1.677  180
1.675  132
1.604  149
1.390  84
1.274  70
1.244  72
1.242  147
1.134  107

Calculated X-ray powder pattern of TcMo2Os2 for CuKα, from a crystal structure in Alexandria, relaxed with PBE.
Neutral-atom scattering factors, no anomalous dispersion.

Structure:
```
10
Lattice="7.408 0.000 0.000 0.000 7.408 0.000 0.000 0.000 2.870" Properties=species:S:1:pos:R:3 pbc="T T T"
Tc 0.000 0.000 0.000
Tc 3.704 3.704 0.000
Mo 1.245 2.459 1.435
Mo 2.459 6.163 1.435
Mo 4.949 1.245 1.435
Mo 6.163 4.949 1.435
Os 0.969 4.673 0.000
Os 2.735 0.969 0.000
Os 4.673 6.439 0.000
Os 6.439 2.735 0.000
```

Peak list (12 most intense, 2θ from 10° to 90°, in order of rising 2θ)
d (Å)  Rel. int.
5.238  189
3.313  139
2.870  120
2.343  558
2.269  98
2.169  1000
2.055  137
1.852  115
1.815  138
1.671  134
1.241  191
1.224  140